[1]
For ErPaGaPt, a GGA-PBE-relaxed structure gives the theoretical X-ray powder pattern in this record (Cu Kα (λ = 1.5418 Å)).
Neutral-atom scattering factors, no anomalous dispersion.

Largest 10 diffraction maxima, by angle, 2θ = 10–90°:
two_theta	intensity	hkl
21.78	9	1 1 1
25.20	5	2 0 0
35.93	100	2 2 0
42.41	5	3 1 1
51.73	18	4 0 0
56.76	2	3 3 1
58.38	2	4 2 0
64.59	37	4 2 2
76.18	12	4 4 0
87.22	17	6 2 0

Crystal structure
```
data_ErPaGaPt
_chemical_formula_sum 'Er4 Pa4 Ga4 Pt4'
_cell_length_a 7.0692
_cell_length_b 7.0692
_cell_length_c 7.0692
_cell_angle_alpha 90.00
_cell_angle_beta 90.00
_cell_angle_gamma 90.00
_symmetry_space_group_name_H-M 'F -4 3 m'
_symmetry_Int_Tables_number 216
_symmetry_space_group_name_Hall 'F -4 2 3'
loop_
_atom_site_label
_atom_site_type_symbol
_atom_site_fract_x
_atom_site_fract_y
_atom_site_fract_z
_atom_site_occupancy
Er1 Er 0.0000 0.0000 0.0000 1
Pa1 Pa 0.0000 0.0000 0.5000 1
Ga1 Ga 0.2500 0.2500 0.7500 1
Pt1 Pt 0.2500 0.2500 0.2500 1
```

---

[2]
For FeIr5Rh4, a GGA-PBE-relaxed structure gives the theoretical X-ray powder pattern in this record (Cu Kα (λ = 1.5418 Å)).
Neutral-atom scattering factors, no anomalous dispersion.

Largest 10 diffraction maxima, by angle, 2θ = 10–90°:
two_theta	intensity	hkl
21.11	46	0 0 2
34.76	29	1 1 -1
36.04	27	2 0 3
38.78	28	3 1 0
40.57	31	4 0 -3
41.86	59	6 0 0
42.98	37	0 0 4
43.57	95	3 1 -2
45.53	100	3 1 2
64.70	34	6 0 4

Crystal structure
```
data_FeIr5Rh4
_chemical_formula_sum 'Fe2 Ir10 Rh8'
_cell_length_a 13.0029
_cell_length_b 2.7552
_cell_length_c 8.4535
_cell_angle_alpha 90.00
_cell_angle_beta 95.27
_cell_angle_gamma 90.00
_symmetry_space_group_name_H-M 'C 1 2/m 1'
_symmetry_Int_Tables_number 12
_symmetry_space_group_name_Hall '-C 2y'
loop_
_atom_site_label
_atom_site_type_symbol
_atom_site_fract_x
_atom_site_fract_y
_atom_site_fract_z
_atom_site_occupancy
Fe1 Fe 0.0000 0.0000 0.0000 1
Ir1 Ir 0.0000 0.0000 0.5000 1
Ir2 Ir 0.1659 0.5000 0.0213 1
Ir3 Ir 0.1692 0.5000 0.4526 1
Rh1 Rh 0.0182 0.5000 0.2359 1
Rh2 Rh 0.1770 0.0000 0.7400 1
```

---

[3]
For MgSn2Hg, a GGA-PBE-relaxed structure gives the theoretical X-ray powder pattern in this record (Cu Kα (λ = 1.5418 Å)).
Neutral-atom scattering factors, no anomalous dispersion.

Largest 10 diffraction maxima, by angle, 2θ = 10–90°:
two_theta	intensity	hkl
19.01	27	1 0 0
27.37	23	1 0 1
33.53	100	1 1 1
38.56	34	2 0 0
39.61	16	0 0 2
55.68	12	2 2 0
56.48	23	2 0 2
66.59	29	3 1 1
68.02	13	1 1 3
70.48	12	2 2 2

Crystal structure
```
data_MgSn2Hg
_chemical_formula_sum 'Mg1 Sn2 Hg1'
_cell_length_a 4.6692
_cell_length_b 4.6692
_cell_length_c 4.5503
_cell_angle_alpha 90.00
_cell_angle_beta 90.00
_cell_angle_gamma 90.00
_symmetry_space_group_name_H-M 'P 4/m m m'
_symmetry_Int_Tables_number 123
_symmetry_space_group_name_Hall '-P 4 2'
loop_
_atom_site_label
_atom_site_type_symbol
_atom_site_fract_x
_atom_site_fract_y
_atom_site_fract_z
_atom_site_occupancy
Mg1 Mg 0.0000 0.0000 0.0000 1
Sn1 Sn 0.0000 0.5000 0.5000 1
Hg1 Hg 0.5000 0.5000 0.0000 1
```

---

[4]
For Cs2YSnBr6, a GGA-PBE-relaxed structure gives the theoretical X-ray powder pattern in this record (Cu Kα (λ = 1.5418 Å)).
Neutral-atom scattering factors, no anomalous dispersion.

Largest 10 diffraction maxima, by angle, 2θ = 10–90°:
two_theta	intensity	hkl
20.49	63	1 1 2
21.74	25	2 0 0
25.68	96	2 0 2
27.23	61	0 0 4
30.93	100	2 2 0
37.39	27	3 1 2
41.67	76	2 2 4
44.32	52	4 0 0
51.92	26	4 2 2
52.78	37	4 0 4

Crystal structure
```
data_Cs2YSnBr6
_chemical_formula_sum 'Cs4 Y2 Sn2 Br12'
_cell_length_a 8.1778
_cell_length_b 8.1778
_cell_length_c 13.1011
_cell_angle_alpha 90.00
_cell_angle_beta 90.00
_cell_angle_gamma 90.00
_symmetry_space_group_name_H-M 'I 4/m m m'
_symmetry_Int_Tables_number 139
_symmetry_space_group_name_Hall '-I 4 2'
loop_
_atom_site_label
_atom_site_type_symbol
_atom_site_fract_x
_atom_site_fract_y
_atom_site_fract_z
_atom_site_occupancy
Cs1 Cs 0.0000 0.5000 0.2500 1
Y1 Y 0.0000 0.0000 0.0000 1
Sn1 Sn 0.0000 0.0000 0.5000 1
Br1 Br 0.0000 0.0000 0.2135 1
Br2 Br 0.2426 0.2426 0.0000 1
```